This entry pairs a crystal structure of MgNiIr2 with its computed X-ray powder pattern. Radiation: Cu Ka. Structure: a PBE-relaxed structure.
No peak broadening, texture or thermal motion is included.

Peak list (10 most intense, 2θ = 15–90°, low angle first)
2theta	I (rel.)
22.62	514
32.63	190
36.57	131
40.52	285
41.22	277
42.67	1000
43.76	106
59.18	187
75.19	180
76.14	181

Structure:
Cell lengths 2.8852, 4.3798, 8.9044 Å; angles 90.00, 90.00, 90.00 degrees
Sites, in units of the cell vectors:
Mg 0.0000 0.0000 0.0000
Mg 0.5000 0.5000 0.5000
Ni 0.0000 0.5000 0.7492
Ni 0.5000 0.0000 0.2492
Ir 0.0000 0.0000 0.4860
Ir 0.0000 0.5000 0.2341
Ir 0.5000 0.0000 0.7341
Ir 0.5000 0.5000 0.9860


This entry pairs a crystal structure of MgNi2Ir with its computed X-ray powder pattern. Radiation: Cu Ka. Structure: a PBE-relaxed structure.
No peak broadening, texture or thermal motion is included.

Peak list (10 most intense, 2θ = 15–90°, low angle first)
2theta	I (rel.)
16.43	408
24.27	230
29.45	165
33.24	207
41.58	1000
45.01	134
47.71	328
49.73	150
71.38	191
84.63	230

Structure:
Cell lengths 2.6938, 3.6670, 5.3947 Å; angles 90.00, 90.00, 90.00 degrees
Sites, in units of the cell vectors:
Mg 0.0000 0.0000 0.0000
Ni 0.0000 0.0000 0.4880
Ni 0.5000 0.5000 0.2517
Ir 0.5000 0.5000 0.7176


This entry pairs a crystal structure of Mg5Ni6Ir with its computed X-ray powder pattern. Radiation: Cu Ka. Structure: a PBE-relaxed structure.
No peak broadening, texture or thermal motion is included.

Peak list (10 most intense, 2θ = 15–90°, low angle first)
2theta	I (rel.)
21.71	225
22.58	180
23.97	137
40.31	1000
42.90	281
47.53	203
47.74	404
67.80	130
71.49	113
83.82	142

Structure:
Cell lengths 4.7797, 4.7797, 8.5779 Å; angles 95.26, 95.26, 119.82 degrees
Sites, in units of the cell vectors:
Mg 0.0000 0.0000 0.0000
Mg 0.1666 0.8334 0.5000
Mg 0.3321 0.6679 0.0000
Mg 0.6679 0.3321 0.0000
Mg 0.8334 0.1666 0.5000
Ni 0.0980 0.4175 0.2502
Ni 0.2693 0.2693 0.7509
Ni 0.4175 0.0980 0.2502
Ni 0.5825 0.9020 0.7498
Ni 0.7307 0.7307 0.2491
Ni 0.9020 0.5825 0.7498
Ir 0.5000 0.5000 0.5000


This entry pairs a crystal structure of Mg6NiIr with its computed X-ray powder pattern. Radiation: Cu Ka. Structure: a PBE-relaxed structure.
No peak broadening, texture or thermal motion is included.

Peak list (10 most intense, 2θ = 15–90°, low angle first)
2theta	I (rel.)
16.85	641
18.95	267
19.64	1000
30.08	455
34.08	233
35.89	325
37.99	264
38.45	255
38.79	491
53.50	212

Structure:
Cell lengths 5.8429, 10.5245, 5.9288 Å; angles 90.00, 116.51, 90.00 degrees
Sites, in units of the cell vectors:
Mg 0.2447 0.0000 0.2543
Mg 0.2446 0.1940 0.7480
Mg 0.2446 0.8060 0.7480
Mg 0.2554 0.3060 0.2520
Mg 0.2553 0.5000 0.7457
Mg 0.2554 0.6940 0.2520
Mg 0.7446 0.3060 0.7480
Mg 0.7447 0.5000 0.2543
Mg 0.7446 0.6940 0.7480
Mg 0.7553 0.0000 0.7457
Mg 0.7554 0.1940 0.2520
Mg 0.7554 0.8060 0.2520
Ni 0.0000 0.0000 0.5000
Ni 0.5000 0.5000 0.5000
Ir 0.0000 0.5000 0.0000
Ir 0.5000 0.0000 0.0000


This entry pairs a crystal structure of MgNiIr with its computed X-ray powder pattern. Radiation: Cu Ka. Structure: a PBE-relaxed structure.
No peak broadening, texture or thermal motion is included.

Peak list (10 most intense, 2θ = 15–90°, low angle first)
2theta	I (rel.)
22.16	1000
24.98	193
41.61	585
42.35	279
43.28	393
45.22	346
51.72	189
55.90	171
69.91	127
75.80	178

Structure:
Cell lengths 4.8509, 5.1618, 7.1295 Å; angles 90.00, 90.00, 90.00 degrees
Sites, in units of the cell vectors:
Mg 0.0000 0.2500 0.1257
Mg 0.0000 0.7500 0.8743
Mg 0.5000 0.2500 0.3743
Mg 0.5000 0.7500 0.6257
Ni 0.2500 0.2500 0.7500
Ni 0.2500 0.7500 0.2500
Ni 0.7500 0.2500 0.7500
Ni 0.7500 0.7500 0.2500
Ir 0.0000 0.0000 0.5000
Ir 0.0000 0.5000 0.5000
Ir 0.5000 0.0000 0.0000
Ir 0.5000 0.5000 0.0000


This entry pairs a crystal structure of MgNiSnIr with its computed X-ray powder pattern. Radiation: Cu Ka. Structure: a PBE-relaxed structure.
No peak broadening, texture or thermal motion is included.

Peak list (10 most intense, 2θ = 15–90°, low angle first)
2theta	I (rel.)
24.66	507
39.58	1000
43.19	391
43.85	116
50.37	158
51.33	118
62.73	129
69.28	193
76.77	289
85.24	113

Structure:
Cell lengths 4.1891, 4.1891, 7.1195 Å; angles 90.00, 90.00, 90.00 degrees
Sites, in units of the cell vectors:
Mg 0.0000 0.0000 0.0000
Mg 0.5000 0.5000 0.5000
Ni 0.0000 0.5000 0.2500
Ni 0.5000 0.0000 0.7500
Sn 0.0000 0.0000 0.5000
Sn 0.5000 0.5000 0.0000
Ir 0.0000 0.5000 0.7500
Ir 0.5000 0.0000 0.2500


This entry pairs a crystal structure of MgIrO3 with its computed X-ray powder pattern. Radiation: Cu Ka. Structure: a PBE-relaxed structure.
No peak broadening, texture or thermal motion is included.

Peak list (10 most intense, 2θ = 15–90°, low angle first)
2theta	I (rel.)
19.42	1000
33.97	269
36.76	304
39.43	108
46.58	301
50.92	189
53.01	131
62.63	146
69.76	89
74.87	108

Structure:
Cell lengths 5.2778, 5.2778, 2.8937 Å; angles 90.00, 90.00, 120.00 degrees
Sites, in units of the cell vectors:
Mg 0.0000 0.0000 0.0000
Ir 0.6667 0.3333 0.0000
O 0.3481 0.1729 0.5000
O 0.8248 0.6519 0.5000
O 0.8271 0.1752 0.5000


This entry pairs a crystal structure of Mg4P6Ir7 with its computed X-ray powder pattern. Radiation: Cu Ka. Structure: a PBE-relaxed structure.
No peak broadening, texture or thermal motion is included.

Peak list (10 most intense, 2θ = 15–90°, low angle first)
2theta	I (rel.)
15.78	262
22.39	562
27.52	1000
39.31	798
42.60	887
45.70	679
54.18	289
66.63	406
73.52	258
80.18	260

Structure:
Cell lengths 6.8766, 6.8766, 6.8766 Å; angles 109.47, 109.47, 109.47 degrees
Sites, in units of the cell vectors:
Mg 0.0000 0.0000 0.5000
Mg 0.0000 0.5000 0.0000
Mg 0.5000 0.0000 0.0000
Mg 0.5000 0.5000 0.5000
P 0.0000 0.3186 0.3186
P 0.0000 0.6814 0.6814
P 0.3186 0.0000 0.3186
P 0.3186 0.3186 0.0000
P 0.6814 0.0000 0.6814
P 0.6814 0.6814 0.0000
Ir 0.0000 0.0000 0.0000
Ir 0.2500 0.5000 0.7500
Ir 0.2500 0.7500 0.5000
Ir 0.5000 0.2500 0.7500
Ir 0.5000 0.7500 0.2500
Ir 0.7500 0.2500 0.5000
Ir 0.7500 0.5000 0.2500


This entry pairs a crystal structure of Mg8P8Ir23 with its computed X-ray powder pattern. Radiation: Cu Ka. Structure: a PBE-relaxed structure.
No peak broadening, texture or thermal motion is included.

Peak list (10 most intense, 2θ = 15–90°, low angle first)
2theta	I (rel.)
18.71	384
23.12	447
32.45	513
36.19	654
38.97	964
40.09	999
40.36	1000
45.46	833
47.26	502
47.62	387

Structure:
Cell lengths 8.6208, 3.9906, 17.0394 Å; angles 90.00, 90.08, 90.00 degrees
Sites, in units of the cell vectors:
Mg 0.0923 0.0000 0.1055
Mg 0.2098 0.0000 0.2902
Mg 0.2936 0.0000 0.7949
Mg 0.4070 0.0000 0.6102
Mg 0.5930 0.0000 0.3898
Mg 0.7064 0.0000 0.2051
Mg 0.7902 0.0000 0.7098
Mg 0.9077 0.0000 0.8945
P 0.1346 0.5000 0.8804
P 0.2425 0.5000 0.6876
P 0.2579 0.5000 0.1848
P 0.3682 0.5000 0.3781
P 0.6318 0.5000 0.6219
P 0.7421 0.5000 0.8152
P 0.7575 0.5000 0.3124
P 0.8654 0.5000 0.1196
Ir 0.0000 0.0000 0.5000
Ir 0.0000 0.5000 0.0000
Ir 0.9999 0.5000 0.2373
Ir 0.0001 0.5000 0.7627
Ir 0.0963 0.0000 0.6533
Ir 0.1016 0.5000 0.3957
Ir 0.1960 0.5000 0.5509
Ir 0.2119 0.0000 0.9525
Ir 0.2952 0.0000 0.4524
Ir 0.3086 0.5000 0.0489
Ir 0.3991 0.0000 0.1531
Ir 0.4073 0.5000 0.8972
Ir 0.4987 0.5000 0.7386
Ir 0.5000 0.5000 0.5000
Ir 0.5013 0.5000 0.2614
Ir 0.5927 0.5000 0.1028
Ir 0.6009 0.0000 0.8469
Ir 0.6914 0.5000 0.9511
Ir 0.7048 0.0000 0.5476
Ir 0.7881 0.0000 0.0475
Ir 0.8040 0.5000 0.4491
Ir 0.8984 0.5000 0.6043
Ir 0.9037 0.0000 0.3467


This entry pairs a crystal structure of Mg6IrPd5 with its computed X-ray powder pattern. Radiation: Cu Ka. Structure: a PBE-relaxed structure.
No peak broadening, texture or thermal motion is included.

Peak list (10 most intense, 2θ = 15–90°, low angle first)
2theta	I (rel.)
27.51	290
28.51	530
40.03	1000
40.68	239
40.83	236
49.81	113
59.00	161
72.23	169
73.60	160
73.80	160

Structure:
Cell lengths 6.9920, 6.9920, 6.4838 Å; angles 90.00, 90.00, 143.01 degrees
Sites, in units of the cell vectors:
Mg 0.0000 0.0000 0.2452
Mg 0.0000 0.0000 0.7548
Mg 0.3350 0.6650 0.2468
Mg 0.3350 0.6650 0.7532
Mg 0.6650 0.3350 0.2468
Mg 0.6650 0.3350 0.7532
Ir 0.5000 0.5000 0.0000
Pd 0.1671 0.8329 0.0000
Pd 0.1687 0.8313 0.5000
Pd 0.5000 0.5000 0.5000
Pd 0.8313 0.1687 0.5000
Pd 0.8329 0.1671 0.0000


This entry pairs a crystal structure of Pm3Mg5Ir2 with its computed X-ray powder pattern. Radiation: Cu Ka. Structure: a PBE-relaxed structure.
No peak broadening, texture or thermal motion is included.

Peak list (10 most intense, 2θ = 15–90°, low angle first)
2theta	I (rel.)
20.01	384
21.46	714
29.60	1000
30.21	430
31.31	306
32.11	589
36.20	417
38.36	387
40.08	458
42.12	546

Structure:
Cell lengths 9.4261, 9.4261, 9.4261 Å; angles 99.31, 93.39, 141.17 degrees
Sites, in units of the cell vectors:
Pm 0.1663 0.2444 0.4107
Pm 0.2500 0.2500 0.0000
Pm 0.3337 0.7444 0.0781
Pm 0.6663 0.2556 0.9219
Pm 0.7500 0.7500 0.0000
Pm 0.8337 0.7556 0.5893
Mg 0.0164 0.7500 0.2664
Mg 0.0785 0.6778 0.7563
Mg 0.2500 0.7500 0.5000
Mg 0.4215 0.1778 0.5993
Mg 0.4836 0.7500 0.7336
Mg 0.5164 0.2500 0.2664
Mg 0.5785 0.8222 0.4007
Mg 0.7500 0.2500 0.5000
Mg 0.9215 0.3222 0.2437
Mg 0.9836 0.2500 0.7336
Ir 0.1524 0.8705 0.0229
Ir 0.3476 0.3705 0.7181
Ir 0.6524 0.6295 0.2819
Ir 0.8476 0.1295 0.9771


This entry pairs a crystal structure of Pm2Mg3Ir2 with its computed X-ray powder pattern. Radiation: Cu Ka. Structure: a PBE-relaxed structure.
No peak broadening, texture or thermal motion is included.

Peak list (10 most intense, 2θ = 15–90°, low angle first)
2theta	I (rel.)
25.10	621
26.38	361
32.93	380
34.34	706
34.92	1000
37.22	358
38.17	331
39.73	522
42.01	410
44.73	311

Structure:
Cell lengths 10.4090, 4.3018, 7.1538 Å; angles 90.00, 98.61, 90.00 degrees
Sites, in units of the cell vectors:
Pm 0.1265 0.0000 0.3681
Pm 0.3735 0.5000 0.6319
Pm 0.6265 0.5000 0.3681
Pm 0.8735 0.0000 0.6319
Mg 0.0000 0.5000 0.0000
Mg 0.1839 0.0000 0.8665
Mg 0.3161 0.5000 0.1335
Mg 0.5000 0.0000 0.0000
Mg 0.6839 0.5000 0.8665
Mg 0.8161 0.0000 0.1335
Ir 0.0914 0.5000 0.6573
Ir 0.4086 0.0000 0.3427
Ir 0.5914 0.0000 0.6573
Ir 0.9086 0.5000 0.3427